No. 1
The following is a theoretical X-ray diffraction stick pattern of Al3PdCl12. It was derived from DFT lattice parameters and positions (GGA-PBE), using Cu Kα (λ = 1.5418 Å).
Peak positions follow from Bragg's law for the DFT cell and can differ from measured ones.

Structure:
```
data_Al3PdCl12
_cell_length_a 11.8347
_cell_length_b 11.8347
_cell_length_c 30.7381
_cell_angle_alpha 90.00
_cell_angle_beta 90.00
_cell_angle_gamma 120.00
_symmetry_space_group_name_H-M 'R 3 c'
_symmetry_Int_Tables_number 161
_symmetry_space_group_name_Hall 'R 3 -2"c'
loop_
_atom_site_label
_atom_site_type_symbol
_atom_site_fract_x
_atom_site_fract_y
_atom_site_fract_z
_atom_site_occupancy
Al1 Al 0.0490 0.3809 0.0000 1
Pd1 Pd 0.0000 0.0000 0.3352 1
Cl1 Cl 0.0289 0.2137 0.0301 1
Cl2 Cl 0.0829 0.1969 0.3799 1
Cl3 Cl 0.1505 0.4412 0.3004 1
Cl4 Cl 0.1974 0.0935 0.2906 1
```

Most intense lines, 10° ≤ 2θ ≤ 80°, by angle:
- hkl 0 1 2, d 8.527, 2θ = 10.37°, rel. 100.0
- hkl 1 0 4, d 6.148, 2θ = 14.41°, rel. 78.7
- hkl 0 0 6, d 5.124, 2θ = 17.31°, rel. 74.8
- hkl 1 2 2, d 3.756, 2θ = 23.69°, rel. 33.0
- hkl 0 3 6, d 2.842, 2θ = 31.47°, rel. 46.9
- hkl 1 2 8, d 2.728, 2θ = 32.83°, rel. 28.7

=====

No. 2
The following is a theoretical X-ray diffraction stick pattern of BaAc8Os2. It was derived from DFT lattice parameters and positions (GGA-PBE), using Cu Kα (λ = 1.5418 Å).
Peak positions follow from Bragg's law for the DFT cell and can differ from measured ones.

Structure:
```
data_BaAc8Os2
_cell_length_a 17.392
_cell_length_b 7.715
_cell_length_c 6.878
_cell_angle_alpha 90.00
_cell_angle_beta 95.57
_cell_angle_gamma 90.00
_symmetry_space_group_name_H-M 'C 1 2/m 1'
_symmetry_Int_Tables_number 12
_symmetry_space_group_name_Hall '-C 2y'
loop_
_atom_site_label
_atom_site_type_symbol
_atom_site_fract_x
_atom_site_fract_y
_atom_site_fract_z
_atom_site_occupancy
Ba1 Ba 0.000 0.000 0.000 1
Ac1 Ac 0.082 0.500 0.837 1
Ac2 Ac 0.141 0.247 0.399 1
Ac3 Ac 0.214 0.000 0.905 1
Os1 Os 0.229 0.500 0.664 1
```

Most intense lines, 10° ≤ 2θ ≤ 80°, by angle:
- hkl 2 0 0, d 8.655, 2θ = 10.22°, rel. 92.4
- hkl 0 2 1, d 3.361, 2θ = 26.52°, rel. 100.0
- hkl 2 2 -1, d 3.185, 2θ = 28.02°, rel. 64.4
- hkl 2 0 2, d 3.083, 2θ = 28.96°, rel. 92.2
- hkl 5 1 -1, d 2.970, 2θ = 30.09°, rel. 58.2
- hkl 4 2 0, d 2.880, 2θ = 31.06°, rel. 77.4